No. 1
ZrTeSeS: calculated powder diffractogram (Cu Kα X-rays), based on DFT lattice parameters and positions (PBE).

Main lines, low angle first (5 to 70 degrees two-theta):
two_theta  I/Imax  index
17.58  383  0 0 2
19.96  341  1 0 1
29.46  1000  0 1 2
35.66  440  2 0 -2
41.31  482  1 1 3
41.40  273  2 1 0

Structure:
```
data_ZrTeSeS
_chemical_formula_sum 'Zr2 Te2 Se2 S2'
_cell_length_a 5.391
_cell_length_b 3.794
_cell_length_c 10.208
_cell_angle_alpha 90.00
_cell_angle_beta 98.58
_cell_angle_gamma 90.00
_space_group_name_H-M_alt 'P 1 21/m 1'
_space_group_IT_number 11
loop_
_space_group_symop_operation_xyz
'x,y,z'
'-x,-y,-z'
'-x,y+1/2,-z'
'x,-y+1/2,z'
loop_
_atom_site_label
_atom_site_fract_x
_atom_site_fract_y
_atom_site_fract_z
_atom_site_occupancy
Zr1 0.220 0.250 0.365 1
Te1 0.390 0.750 0.164 1
Se1 0.068 0.250 0.785 1
S1 0.267 0.750 0.544 1
```

No. 2
TbPr3Al: calculated powder diffractogram (Cu Kα X-rays), based on DFT lattice parameters and positions (PBE).

Main lines, low angle first (5 to 70 degrees two-theta):
two_theta  I/Imax  index
27.71  302  0 10 0
29.88  854  1 9 0
30.91  1000  1 3 1
32.91  771  2 0 0
34.80  225  1 11 0
39.16  256  1 9 1

Structure:
```
data_TbPr3Al
_chemical_formula_sum 'Tb4 Pr12 Al4'
_cell_length_a 5.443
_cell_length_b 32.197
_cell_length_c 3.603
_cell_angle_alpha 90.00
_cell_angle_beta 90.00
_cell_angle_gamma 90.00
_space_group_name_H-M_alt 'C m m m'
_space_group_IT_number 65
_space_group_name_Hall '-C 2 2'
loop_
_atom_site_label
_atom_site_fract_x
_atom_site_fract_y
_atom_site_fract_z
_atom_site_occupancy
Tb1 0.000 0.163 0.000 1
Pr1 0.000 0.063 0.500 1
Pr2 0.000 0.274 0.500 1
Pr3 0.000 0.451 0.000 1
Al1 0.000 0.370 0.500 1
```

No. 3
TcB4W: calculated powder diffractogram (Cu Kα X-rays), based on DFT lattice parameters and positions (PBE).

Main lines, low angle first (5 to 70 degrees two-theta):
two_theta  I/Imax  index
11.60  269  0 0 1
23.33  617  0 0 2
35.61  296  1 0 0
37.57  1000  1 0 1
43.01  256  1 0 2
51.02  506  1 0 3

Structure:
```
data_TcB4W
_chemical_formula_sum 'Tc1 B4 W1'
_cell_length_a 2.9113
_cell_length_b 2.9113
_cell_length_c 7.6265
_cell_angle_alpha 90.00
_cell_angle_beta 90.00
_cell_angle_gamma 120.00
_space_group_name_H-M_alt 'P -6 m 2'
_space_group_IT_number 187
_space_group_name_Hall 'P -6 2'
loop_
_atom_site_label
_atom_site_fract_x
_atom_site_fract_y
_atom_site_fract_z
_atom_site_occupancy
Tc1 0.0000 0.0000 0.0000 1
B1 0.0000 0.0000 0.2893 1
B2 0.3333 0.6667 0.2025 1
W1 0.3333 0.6667 0.5000 1
```

- Which formula does entry 2 have?
  TbPr3Al